Diffraction record for MnSnPd2. The powder diffractogram is calculated, not measured: it uses a DFT-relaxed cell (GGA-PBE, the Materials Project) and Cu Kα (λ = 1.5418 Å).
Intensities are scaled so that the largest is 100.

Cell and atoms:
Lattice parameters (Å, degrees): 6.4319 6.4319 6.4319 90.00 90.00 90.00
Space group Fm-3m (No. 225)
Asymmetric unit:
1 Mn 0.0000 0.0000 0.0000
2 Sn 0.0000 0.0000 0.5000
3 Pd 0.2500 0.2500 0.2500

Largest 6 diffraction maxima, sorted by position, 5 to 70 degrees two-theta:
hkl  two_theta  I/Imax
1 1 1  23.96  6
2 0 0  27.74  1
2 2 0  39.63  100
3 1 1  46.85  4
4 0 0  57.30  17
3 3 1  62.99  2

=====

Diffraction record for MnTcPd. The powder diffractogram is calculated, not measured: it uses a DFT-relaxed cell (GGA-PBE, the Materials Project) and Cu Kα (λ = 1.5418 Å).
Intensities are scaled so that the largest is 100.

Cell and atoms:
Lattice parameters (Å, degrees): 5.7869 5.7869 5.7869 90.00 90.00 90.00
Space group F-43m (No. 216)
Asymmetric unit:
1 Mn 0.0000 0.0000 0.0000
2 Tc 0.2500 0.2500 0.2500
3 Pd 0.2500 0.2500 0.7500

Largest 6 diffraction maxima, sorted by position, 5 to 70 degrees two-theta:
hkl  two_theta  I/Imax
1 1 1  26.68  13
2 0 0  30.90  46
2 2 0  44.27  100
3 1 1  52.44  5
2 2 2  54.97  12
4 0 0  64.40  16